Diffraction record for RbSrFeO3. The powder XRD pattern is calculated, not measured: it uses a DFT-relaxed cell (GGA+U, Alexandria) and copper Kα.

Crystal structure
```
data_RbSrFeO3
_chemical_formula_sum 'Rb4 Sr4 Fe4 O12'
_cell_length_a 13.5675
_cell_length_b 3.8827
_cell_length_c 8.0465
_cell_angle_alpha 90.00
_cell_angle_beta 105.88
_cell_angle_gamma 90.00
_space_group_name_H-M_alt 'C 1 2/m 1'
_space_group_IT_number 12
loop_
_space_group_symop_operation_xyz
'x,y,z'
'-x,-y,-z'
'-x,y,-z'
'x,-y,z'
'x+1/2,y+1/2,z'
'-x+1/2,-y+1/2,-z'
'-x+1/2,y+1/2,-z'
'x+1/2,-y+1/2,z'
loop_
_atom_site_label
_atom_site_type_symbol
_atom_site_fract_x
_atom_site_fract_y
_atom_site_fract_z
_atom_site_occupancy
Rb1 Rb 0.1473 0.0000 0.0672 1
Sr1 Sr 0.1546 0.0000 0.5801 1
Fe1 Fe 0.0069 0.5000 0.2850 1
O1 O 0.0066 0.0000 0.2987 1
O2 O 0.1355 0.5000 0.7805 1
O3 O 0.1511 0.5000 0.3602 1
```

Most intense lines, 10° ≤ 2θ ≤ 80°, by intensity:
(1 1 -2), 2θ 32.04, intensity 100; (3 1 0), 2θ 30.87, intensity 58; (4 0 -2), 2θ 30.63, intensity 42; (2 0 2), 2θ 29.90, intensity 41; (6 0 0), 2θ 41.52, intensity 22; (0 2 0), 2θ 46.79, intensity 22; (2 0 -4), 2θ 45.08, intensity 18; (5 1 2), 2θ 52.92, intensity 17; (7 1 -2), 2θ 53.85, intensity 16; (4 2 -2), 2θ 56.97, intensity 14; (2 2 2), 2θ 56.53, intensity 13; (4 0 0), 2θ 27.34, intensity 12